Simulated X-ray powder pattern of Ca3Ni3Ge for λ = 1.5418 Å (Cu Kα), from a PBE-relaxed structure.
Peak positions follow from Bragg's law for the DFT cell and can differ from measured ones.

Principal peaks in the range 2θ from 10° to 90°, sorted by position:
2theta  intensity
18.22  63
21.74  56
33.65  67
34.36  47
36.19  96
39.68  100
40.14  80
43.89  59
44.08  77
48.13  65

Crystal structure
Cell lengths 4.1089, 10.4944, 13.0446 Å; angles 90.00, 90.00, 90.00 degrees
Space group Cmcm (No. 63)
Inequivalent atoms, fractional coordinates:
Ca  0.0000  0.0107  0.2500 x4
Ca  0.0000  0.2753  0.6053 x8
Ni  0.0000  0.3249  0.2500 x4
Ni  0.0000  0.4347  0.0857 x8
Ge  0.0000  0.0000  0.0000 x4

Simulated X-ray powder pattern of V3ReSb for λ = 1.5418 Å (Cu Kα), from a PBE-relaxed structure.
Peak positions follow from Bragg's law for the DFT cell and can differ from measured ones.

Principal peaks in the range 2θ from 10° to 90°, sorted by position:
2theta  intensity
19.17  23
27.24  100
38.90  63
43.71  11
48.14  43
56.19  41
63.54  19
70.45  14
77.07  22
89.88  12

Crystal structure
Cell lengths 4.6303, 4.6303, 4.6303 Å; angles 90.00, 90.00, 90.00 degrees
Space group Pm-3m (No. 221)
Inequivalent atoms, fractional coordinates:
V  0.0000  0.0000  0.5000 x3
Re  0.0000  0.0000  0.0000 x1
Sb  0.5000  0.5000  0.5000 x1

Simulated X-ray powder pattern of Pm4DyTm2Mg for λ = 1.5418 Å (Cu Kα), from a PBE-relaxed structure.
Peak positions follow from Bragg's law for the DFT cell and can differ from measured ones.

Principal peaks in the range 2θ from 10° to 90°, sorted by position:
2theta  intensity
30.90  100
35.54  35
36.41  16
51.14  12
51.79  23
60.96  29
62.12  13
64.39  12
83.52  6
84.54  12

Crystal structure
Cell lengths 5.0521, 5.0521, 9.8703 Å; angles 90.00, 90.00, 90.00 degrees
Space group P4/mmm (No. 123)
Inequivalent atoms, fractional coordinates:
Pm  0.0000  0.5000  0.2453 x4
Dy  0.0000  0.0000  0.5000 x1
Tm  0.0000  0.0000  0.0000 x1
Tm  0.5000  0.5000  0.5000 x1
Mg  0.5000  0.5000  0.0000 x1

Simulated X-ray powder pattern of DyGa2Ni6 for λ = 1.5418 Å (Cu Kα), from a PBE-relaxed structure.
Peak positions follow from Bragg's law for the DFT cell and can differ from measured ones.

Principal peaks in the range 2θ from 10° to 90°, sorted by position:
2theta  intensity
28.17  66
29.45  13
34.14  48
44.83  29
49.06  100
61.12  11
68.62  14
71.90  15
78.92  9
82.05  13

Crystal structure
Cell lengths 10.5048, 10.5048, 10.5048 Å; angles 90.00, 90.00, 90.00 degrees
Space group Fd-3m (No. 227, origin choice 2)
Inequivalent atoms, fractional coordinates:
Dy  0.1250  0.1250  0.1250 x8
Ga  0.0000  0.0000  0.5000 x16
Ni  0.1191  0.3750  0.3750 x48

Simulated X-ray powder pattern of Ac6Nd2Sm for λ = 1.5418 Å (Cu Kα), from a PBE-relaxed structure.
Peak positions follow from Bragg's law for the DFT cell and can differ from measured ones.

Principal peaks in the range 2θ from 10° to 90°, sorted by position:
2theta  intensity
23.23  19
27.22  14
28.20  37
29.19  100
29.52  21
30.01  15
36.24  13
36.85  12
46.21  16
50.53  20

Crystal structure
Cell lengths 15.3176, 12.6583, 7.8563 Å; angles 90.00, 90.15, 90.00 degrees
Space group C2/c (No. 15)
Inequivalent atoms, fractional coordinates:
Ac  0.1016  0.0035  0.1310 x8
Ac  0.1184  0.2686  0.3896 x8
Ac  0.1408  0.2537  0.8800 x8
Nd  0.1999  0.4955  0.1078 x8
Sm  0.0000  0.4757  0.7500 x4

Simulated X-ray powder pattern of PuGa5Co for λ = 1.5418 Å (Cu Kα), from a PBE-relaxed structure.
Peak positions follow from Bragg's law for the DFT cell and can differ from measured ones.

Principal peaks in the range 2θ from 10° to 90°, sorted by position:
2theta  intensity
12.03  19
24.59  51
32.80  65
36.65  25
39.23  100
43.52  50
50.63  15
58.17  26
63.24  16
77.01  27

Crystal structure
Cell lengths 4.1587, 4.1587, 7.3553 Å; angles 90.00, 90.00, 90.00 degrees
Space group P4/mmm (No. 123)
Inequivalent atoms, fractional coordinates:
Pu  0.0000  0.0000  0.0000 x1
Ga  0.0000  0.5000  0.3150 x4
Ga  0.5000  0.5000  0.0000 x1
Co  0.5000  0.5000  0.5000 x1

Simulated X-ray powder pattern of DyGa2Br5 for λ = 1.5418 Å (Cu Kα), from a PBE-relaxed structure.
Peak positions follow from Bragg's law for the DFT cell and can differ from measured ones.

Principal peaks in the range 2θ from 10° to 90°, sorted by position:
2theta  intensity
12.34  95
17.19  67
20.28  47
25.91  63
26.72  61
28.18  49
33.26  56
33.30  58
35.68  58
41.44  100

Crystal structure
Cell lengths 15.8985, 7.7350, 10.6810 Å; angles 90.00, 115.51, 90.00 degrees
Space group Cc (No. 9)
Inequivalent atoms, fractional coordinates:
Dy  0.0000  0.9998  0.0000 x4
Ga  0.1209  0.4713  0.2244 x4
Ga  0.3785  0.0289  0.7745 x4
Br  0.0001  0.1419  0.7501 x4
Br  0.0768  0.3103  0.4633 x4
Br  0.1759  0.1455  0.1494 x4
Br  0.3241  0.3539  0.8510 x4
Br  0.4231  0.1897  0.5358 x4

Simulated X-ray powder pattern of AcBRu2C for λ = 1.5418 Å (Cu Kα), from a PBE-relaxed structure.
Peak positions follow from Bragg's law for the DFT cell and can differ from measured ones.

Principal peaks in the range 2θ from 10° to 90°, sorted by position:
2theta  intensity
22.73  18
26.07  22
30.59  59
33.19  75
34.32  100
35.64  22
36.40  28
42.92  37
53.63  26
57.53  23

Crystal structure
Cell lengths 4.2137, 10.5456, 7.0207 Å; angles 90.00, 90.00, 90.00 degrees
Space group Cmcm (No. 63)
Inequivalent atoms, fractional coordinates:
Ac  0.0000  0.0401  0.2500 x4
B  0.0000  0.2480  0.7500 x4
Ru  0.0000  0.3220  0.0463 x8
C  0.0000  0.5000  0.0000 x4

Simulated X-ray powder pattern of YHfZnGa for λ = 1.5418 Å (Cu Kα), from a PBE-relaxed structure.
Peak positions follow from Bragg's law for the DFT cell and can differ from measured ones.

Principal peaks in the range 2θ from 10° to 90°, sorted by position:
2theta  intensity
22.42  10
25.94  11
37.02  100
43.71  6
45.76  3
53.35  17
58.58  2
60.26  4
66.71  35
78.83  11

Crystal structure
Cell lengths 6.8686, 6.8686, 6.8686 Å; angles 90.00, 90.00, 90.00 degrees
Space group F-43m (No. 216)
Inequivalent atoms, fractional coordinates:
Y  0.0000  0.0000  0.0000 x4
Hf  0.0000  0.0000  0.5000 x4
Zn  0.2500  0.2500  0.2500 x4
Ga  0.2500  0.2500  0.7500 x4

Simulated X-ray powder pattern of TbDyHoTm for λ = 1.5418 Å (Cu Kα), from a PBE-relaxed structure.
Peak positions follow from Bragg's law for the DFT cell and can differ from measured ones.

Principal peaks in the range 2θ from 10° to 90°, sorted by position:
2theta  intensity
31.12  100
36.08  51
51.95  36
61.81  43
64.88  12
76.55  6
84.91  18
87.67  17

Crystal structure
Cell lengths 4.9789, 4.9789, 9.9535 Å; angles 90.00, 90.00, 90.00 degrees
Space group I-4m2 (No. 119)
Inequivalent atoms, fractional coordinates:
Tb  0.0000  0.0000  0.0000 x2
Dy  0.0000  0.0000  0.5000 x2
Ho  0.0000  0.5000  0.2500 x2
Tm  0.0000  0.5000  0.7500 x2

Simulated X-ray powder pattern of UIrPd for λ = 1.5418 Å (Cu Kα), from a PBE-relaxed structure.
Peak positions follow from Bragg's law for the DFT cell and can differ from measured ones.

Principal peaks in the range 2θ from 10° to 90°, sorted by position:
2theta  intensity
23.02  49
38.40  100
39.67  100
42.19  17
56.40  33
68.59  15
71.15  34
72.00  18
82.26  9
85.49  13

Crystal structure
Cell lengths 4.5437, 4.5437, 20.4298 Å; angles 90.00, 90.00, 120.00 degrees
Space group R-3m (No. 166, hexagonal axes)
Inequivalent atoms, fractional coordinates:
U  0.0000  0.0000  0.0767 x6
Ir  0.0000  0.0000  0.2070 x6
Pd  0.0000  0.0000  0.3514 x6

Simulated X-ray powder pattern of Rb2NaSn for λ = 1.5418 Å (Cu Kα), from a PBE-relaxed structure.
Peak positions follow from Bragg's law for the DFT cell and can differ from measured ones.

Principal peaks in the range 2θ from 10° to 90°, sorted by position:
2theta  intensity
18.76  95
22.55  100
24.95  72
26.45  81
26.58  86
27.07  98
31.40  51
32.04  60
32.20  56
34.33  67

Crystal structure
Cell lengths 12.2766, 7.1373, 10.4490 Å; angles 90.00, 114.85, 90.00 degrees
Space group P2_1/c (No. 14)
Inequivalent atoms, fractional coordinates:
Rb  0.1644  0.2500  0.0844 x4
Rb  0.2411  0.7254  0.3718 x4
Na  0.4999  0.9998  0.2145 x4
Sn  0.4213  0.1710  0.4613 x4

Repeat the ninth record exactly.
Simulated X-ray powder pattern of YHfZnGa for λ = 1.5418 Å (Cu Kα), from a PBE-relaxed structure.
Peak positions follow from Bragg's law for the DFT cell and can differ from measured ones.

Principal peaks in the range 2θ from 10° to 90°, sorted by position:
2theta  intensity
22.42  10
25.94  11
37.02  100
43.71  6
45.76  3
53.35  17
58.58  2
60.26  4
66.71  35
78.83  11

Crystal structure
Cell lengths 6.8686, 6.8686, 6.8686 Å; angles 90.00, 90.00, 90.00 degrees
Space group F-43m (No. 216)
Inequivalent atoms, fractional coordinates:
Y  0.0000  0.0000  0.0000 x4
Hf  0.0000  0.0000  0.5000 x4
Zn  0.2500  0.2500  0.2500 x4
Ga  0.2500  0.2500  0.7500 x4